Simulated XRD peak list of Li2V3CuO8 for Cu Kα X-rays, from a DFT-relaxed cell (PBE+U, the Materials Project).

The 10 most intense peaks (15 to 90 degrees two-theta), low angle first:
18.25 deg, I 100; 34.78 deg, I 34; 36.48 deg, I 14; 36.98 deg, I 10; 41.98 deg, I 40; 44.87 deg, I 17; 55.62 deg, I 13; 60.88 deg, I 12; 63.13 deg, I 21; 78.74 deg, I 8

Cell and atoms:
a b c (Å): 8.0793 8.6049 8.6114
angles (deg): 89.97 89.99 90.00
Fractional positions:
Li 0.0000 0.0000 0.0000
Li 0.0043 0.4968 0.4986
Li 0.2503 0.7439 0.7484
Li 0.2542 0.2433 0.2514
Li 0.5001 0.4916 0.0043
Li 0.5041 0.9951 0.5055
Li 0.7502 0.7482 0.2561
Li 0.7546 0.2487 0.7529
V 0.1219 0.1200 0.6248
V 0.1321 0.6266 0.1356
V 0.1335 0.8777 0.3764
V 0.3704 0.3703 0.6268
V 0.3824 0.1213 0.8701
V 0.3825 0.8794 0.1211
V 0.6216 0.3715 0.3796
V 0.6321 0.8653 0.8686
V 0.6334 0.6140 0.6279
V 0.8707 0.1217 0.3778
V 0.8822 0.3705 0.1343
V 0.8828 0.6124 0.8830
Cu 0.1276 0.3626 0.8856
Cu 0.3788 0.6321 0.3859
Cu 0.6276 0.1287 0.1191
Cu 0.8787 0.8602 0.6186
O 0.1088 0.6167 0.8963
O 0.1101 0.3965 0.1430
O 0.1138 0.1116 0.3896
O 0.1246 0.8885 0.6049
O 0.1286 0.6487 0.3631
O 0.1401 0.8608 0.1366
O 0.1431 0.1221 0.8532
O 0.1490 0.3564 0.6172
O 0.3584 0.6398 0.1324
O 0.3613 0.8869 0.3517
O 0.3637 0.1343 0.6357
O 0.3730 0.3497 0.8587
O 0.3796 0.1073 0.0997
O 0.3897 0.8799 0.8881
O 0.3924 0.5978 0.6241
O 0.3998 0.3604 0.3922
O 0.6089 0.8756 0.1080
O 0.6102 0.0955 0.8616
O 0.6136 0.3801 0.6147
O 0.6244 0.6032 0.3994
O 0.6282 0.8431 0.6413
O 0.6402 0.6311 0.8678
O 0.6430 0.3690 0.1511
O 0.6492 0.1353 0.3873
O 0.8585 0.8521 0.8711
O 0.8611 0.6046 0.6524
O 0.8636 0.3576 0.3688
O 0.8734 0.1420 0.1459
O 0.8801 0.3844 0.9047
O 0.8896 0.6119 0.1162
O 0.8924 0.8940 0.3807
O 0.9002 0.1316 0.6121

Simulated XRD peak list of Li2V3CuO8 for Cu Kα X-rays, from a DFT-relaxed cell (PBE+U, the Materials Project).

The 10 most intense peaks (15 to 90 degrees two-theta), low angle first:
18.30 deg, I 55; 18.45 deg, I 16; 21.29 deg, I 39; 30.20 deg, I 37; 35.54 deg, I 17; 35.74 deg, I 100; 43.36 deg, I 33; 57.21 deg, I 23; 62.79 deg, I 26; 63.20 deg, I 28

Cell and atoms:
a b c (Å): 5.9197 5.9197 5.9197
angles (deg): 59.62 59.62 59.62
Fractional positions:
Li 0.0000 0.0000 0.0000
Li 0.3782 0.3782 0.3782
V 0.0011 0.0011 0.4948
V 0.0011 0.4948 0.0011
V 0.4948 0.0011 0.0011
Cu 0.6228 0.6228 0.6228
O 0.2105 0.7500 0.7500
O 0.2403 0.2403 0.2403
O 0.2511 0.2511 0.7895
O 0.2511 0.7895 0.2511
O 0.7500 0.2105 0.7500
O 0.7500 0.7500 0.2105
O 0.7583 0.7583 0.7583
O 0.7895 0.2511 0.2511

Simulated XRD peak list of Li2V3CuO8 for Cu Kα X-rays, from a DFT-relaxed cell (PBE+U, the Materials Project).

The 10 most intense peaks (15 to 90 degrees two-theta), low angle first:
18.29 deg, I 100; 34.70 deg, I 17; 34.80 deg, I 17; 36.76 deg, I 15; 37.06 deg, I 10; 41.81 deg, I 21; 41.99 deg, I 21; 45.31 deg, I 16; 63.34 deg, I 11; 63.48 deg, I 11

Cell and atoms:
a b c (Å): 8.0065 8.6067 8.6416
angles (deg): 89.87 89.98 89.98
Fractional positions:
Li 0.0000 0.0000 0.0000
Li 0.0062 0.4997 0.5031
Li 0.2501 0.2512 0.2532
Li 0.2568 0.7531 0.7530
Li 0.4998 0.5045 0.0032
Li 0.5064 0.0047 0.5004
Li 0.7499 0.2537 0.7507
Li 0.7570 0.7518 0.2507
V 0.1231 0.8824 0.3795
V 0.1279 0.1268 0.6283
V 0.1338 0.3752 0.8726
V 0.3736 0.6293 0.3722
V 0.3781 0.8781 0.1277
V 0.3827 0.1223 0.8792
V 0.6235 0.6226 0.6243
V 0.6276 0.3775 0.3759
V 0.6338 0.1295 0.1313
V 0.8732 0.8758 0.6316
V 0.8785 0.6266 0.8755
V 0.8826 0.3821 0.1243
Cu 0.1276 0.6312 0.1231
Cu 0.3784 0.3729 0.6228
Cu 0.6278 0.8731 0.8807
Cu 0.8789 0.1320 0.3804
O 0.1104 0.3761 0.1092
O 0.1133 0.6049 0.8713
O 0.1177 0.8882 0.6136
O 0.1268 0.1124 0.3990
O 0.1302 0.3562 0.6435
O 0.1394 0.1401 0.8659
O 0.1421 0.8817 0.1506
O 0.1464 0.6454 0.3798
O 0.3604 0.3602 0.8800
O 0.3642 0.1232 0.6497
O 0.3675 0.8648 0.3657
O 0.3760 0.6485 0.1427
O 0.3791 0.8921 0.8986
O 0.3884 0.1160 0.1133
O 0.3931 0.3996 0.3710
O 0.3960 0.6276 0.6096
O 0.6102 0.1283 0.8942
O 0.6129 0.8996 0.1324
O 0.6174 0.6164 0.3898
O 0.6268 0.3924 0.6047
O 0.6304 0.1482 0.3601
O 0.6391 0.3645 0.1379
O 0.6422 0.6232 0.8531
O 0.6462 0.8597 0.6240
O 0.8600 0.1441 0.1222
O 0.8644 0.3808 0.3538
O 0.8677 0.6400 0.6380
O 0.8760 0.8562 0.8611
O 0.8792 0.6120 0.1049
O 0.8886 0.3888 0.8904
O 0.8932 0.1044 0.6334
O 0.8956 0.8783 0.3950

Simulated XRD peak list of Li4V3Cu3W2O16 for Cu Kα X-rays, from a DFT-relaxed cell (PBE+U, the Materials Project).

The 10 most intense peaks (15 to 90 degrees two-theta), low angle first:
18.96 deg, I 27; 19.27 deg, I 63; 19.65 deg, I 100; 24.65 deg, I 21; 31.82 deg, I 25; 32.49 deg, I 24; 34.47 deg, I 29; 35.31 deg, I 27; 35.71 deg, I 28; 36.19 deg, I 22

Cell and atoms:
a b c (Å): 5.9158 5.9627 9.9476
angles (deg): 87.74 89.95 60.39
Fractional positions:
Li 0.0000 0.0000 0.0000
Li 0.0014 0.9948 0.5104
Li 0.3309 0.3388 0.4322
Li 0.6551 0.6927 0.9311
V 0.1713 0.6564 0.7487
V 0.3392 0.8265 0.2372
V 0.8338 0.8210 0.2411
Cu 0.1773 0.1685 0.7286
Cu 0.6548 0.1676 0.7282
Cu 0.8278 0.3437 0.2292
W 0.3324 0.3357 0.0101
W 0.6672 0.6614 0.5109
O 0.0021 0.9953 0.8073
O 0.0225 0.5276 0.8846
O 0.1663 0.6541 0.1235
O 0.1778 0.1607 0.1061
O 0.3166 0.3682 0.6402
O 0.3537 0.8056 0.6060
O 0.4490 0.5294 0.8858
O 0.4661 0.0668 0.8796
O 0.4989 0.5417 0.3722
O 0.5260 0.9644 0.3637
O 0.6589 0.1637 0.1054
O 0.6669 0.6909 0.1328
O 0.8353 0.3318 0.5925
O 0.8420 0.8026 0.6049
O 0.9623 0.5385 0.3702
O 0.9869 0.9993 0.3195

Simulated XRD peak list of Li2CuW2O8 for Cu Kα X-rays, from a DFT-relaxed cell (PBE+U, the Materials Project).

The 10 most intense peaks (15 to 90 degrees two-theta), low angle first:
18.26 deg, I 100; 20.49 deg, I 50; 23.11 deg, I 42; 24.09 deg, I 45; 24.88 deg, I 73; 27.22 deg, I 53; 28.59 deg, I 56; 32.11 deg, I 49; 33.78 deg, I 76; 48.88 deg, I 38

Cell and atoms:
a b c (Å): 5.1174 5.4754 5.9465
angles (deg): 73.43 85.36 67.38
Fractional positions:
Li 0.0641 0.4140 0.2753
Li 0.9359 0.5860 0.7247
Cu 0.5000 0.5000 0.5000
W 0.2719 0.9747 0.8427
W 0.7281 0.0253 0.1573
O 0.1388 0.7799 0.1420
O 0.2456 0.7464 0.6800
O 0.2791 0.2705 0.5877
O 0.3390 0.2017 0.0692
O 0.6610 0.7983 0.9308
O 0.7209 0.7295 0.4123
O 0.7544 0.2536 0.3200
O 0.8612 0.2201 0.8580

Simulated XRD peak list of LuMn4Cu3O12 for Cu Kα X-rays, from a DFT-relaxed cell (PBE+U, the Materials Project).

The 10 most intense peaks (15 to 90 degrees two-theta), low angle first:
17.01 deg, I 21; 24.15 deg, I 6; 34.41 deg, I 100; 38.62 deg, I 11; 42.48 deg, I 8; 46.07 deg, I 12; 49.46 deg, I 26; 61.64 deg, I 47; 72.54 deg, I 12; 82.82 deg, I 16

Cell and atoms:
a b c (Å): 6.3841 6.3841 6.3841
angles (deg): 109.47 109.47 109.47
Fractional positions:
Lu 0.0000 0.0000 0.0000
Mn 0.0000 0.0000 0.5000
Mn 0.0000 0.5000 0.0000
Mn 0.5000 0.0000 0.0000
Mn 0.5000 0.5000 0.5000
Cu 0.0000 0.5000 0.5000
Cu 0.5000 0.0000 0.5000
Cu 0.5000 0.5000 0.0000
O 0.1245 0.2967 0.8278
O 0.1722 0.4690 0.2967
O 0.1722 0.8755 0.7033
O 0.2967 0.1722 0.4690
O 0.2967 0.8278 0.1245
O 0.4690 0.2967 0.1722
O 0.5310 0.7033 0.8278
O 0.7033 0.1722 0.8755
O 0.7033 0.8278 0.5310
O 0.8278 0.1245 0.2967
O 0.8278 0.5310 0.7033
O 0.8755 0.7033 0.1722

Simulated XRD peak list of LuCuW2O8 for Cu Kα X-rays, from a DFT-relaxed cell (PBE+U, the Materials Project).

The 10 most intense peaks (15 to 90 degrees two-theta), low angle first:
23.42 deg, I 53; 28.91 deg, I 100; 29.81 deg, I 90; 34.98 deg, I 41; 35.36 deg, I 30; 36.39 deg, I 25; 49.56 deg, I 28; 50.51 deg, I 18; 50.80 deg, I 20; 51.92 deg, I 22

Cell and atoms:
a b c (Å): 5.0813 5.9458 10.9304
angles (deg): 90.00 115.37 90.00
Fractional positions:
Lu 0.0000 0.1637 0.2500
Lu 0.0000 0.8363 0.7500
Cu 0.5000 0.2060 0.7500
Cu 0.5000 0.7940 0.2500
W 0.2387 0.3306 0.9906
W 0.2387 0.6694 0.4906
W 0.7613 0.3306 0.5094
W 0.7613 0.6694 0.0094
O 0.1645 0.4061 0.6105
O 0.1645 0.5939 0.1105
O 0.2185 0.1357 0.1166
O 0.2185 0.8643 0.6166
O 0.2672 0.1340 0.8655
O 0.2672 0.8660 0.3655
O 0.3349 0.3861 0.4006
O 0.3349 0.6139 0.9006
O 0.6651 0.3861 0.0994
O 0.6651 0.6139 0.5994
O 0.7328 0.1340 0.6345
O 0.7328 0.8660 0.1345
O 0.7815 0.1357 0.3834
O 0.7815 0.8643 0.8834
O 0.8355 0.4061 0.8895
O 0.8355 0.5939 0.3895

Simulated XRD peak list of MgMn4Cu2O8 for Cu Kα X-rays, from a DFT-relaxed cell (PBE+U, the Materials Project).

The 10 most intense peaks (15 to 90 degrees two-theta), low angle first:
17.36 deg, I 45; 19.37 deg, I 35; 32.92 deg, I 28; 33.19 deg, I 37; 33.30 deg, I 59; 34.13 deg, I 49; 34.27 deg, I 30; 34.84 deg, I 51; 36.28 deg, I 34; 39.33 deg, I 100

Cell and atoms:
a b c (Å): 6.1154 6.1188 6.2610
angles (deg): 115.25 92.06 119.45
Fractional positions:
Mg 0.0000 0.0000 0.0000
Mn 0.0000 0.5000 0.0000
Mn 0.5000 0.0000 0.0000
Mn 0.5000 0.0000 0.5000
Mn 0.5000 0.5000 0.0000
Cu 0.1911 0.4533 0.4961
Cu 0.8089 0.5467 0.5039
O 0.2215 0.4688 0.2118
O 0.2411 0.5016 0.8042
O 0.2418 0.9322 0.1882
O 0.3002 0.0681 0.8132
O 0.6998 0.9319 0.1868
O 0.7582 0.0678 0.8118
O 0.7589 0.4984 0.1958
O 0.7785 0.5312 0.7882

Simulated XRD peak list of MgMn4Cu2O8 for Cu Kα X-rays, from a DFT-relaxed cell (PBE+U, the Materials Project).

The 10 most intense peaks (15 to 90 degrees two-theta), low angle first:
32.17 deg, I 67; 32.72 deg, I 69; 33.22 deg, I 55; 33.47 deg, I 97; 33.62 deg, I 45; 34.26 deg, I 56; 35.75 deg, I 69; 38.96 deg, I 77; 40.78 deg, I 100; 43.29 deg, I 48

Cell and atoms:
a b c (Å): 5.8195 6.2179 6.2343
angles (deg): 61.98 66.64 62.71
Fractional positions:
Mg 0.0000 0.0000 0.0000
Mn 0.4701 0.0353 0.0548
Mn 0.4848 0.5274 0.0438
Mn 0.5032 0.5602 0.5370
Mn 0.8403 0.9422 0.5015
Cu 0.2507 0.2355 0.5387
Cu 0.9766 0.5261 0.0466
O 0.2204 0.2357 0.8393
O 0.2293 0.7309 0.8314
O 0.2345 0.8208 0.2720
O 0.2701 0.2916 0.2200
O 0.6808 0.7810 0.8761
O 0.6916 0.2508 0.8343
O 0.7127 0.8424 0.2862
O 0.7210 0.3360 0.2768